This entry pairs a crystal structure of CeCoC with its theoretical X-ray diffraction stick pattern. Radiation: Cu Kα (weighted mean of Kα1 and Kα2). Structure: DFT lattice parameters and positions (GGA-PBE).
Peak positions follow from Bragg's law for the DFT cell and can differ from measured ones.

Largest 6 diffraction maxima, sorted by position, 2θ from 10° to 80°:
| d_spacing | I (rel.) |
| --- | --- |
| 3.527 | 17 |
| 2.901 | 32 |
| 2.547 | 100 |
| 2.221 | 15 |
| 1.763 | 18 |
| 1.597 | 23 |

Atomic structure:
a = 5.1866 Å, b = 5.1866 Å, c = 5.1866 Å
α = 111.99°, β = 89.56°, γ = 129.29°
Positions (direct):
Ce  0.0000  0.0000  0.0000
Ce  0.5000  0.0000  0.5000
Co  0.2556  0.5056  0.7500
Co  0.7444  0.4944  0.2500
C  0.5000  0.0000  0.0000
C  0.5000  0.5000  0.5000